(1)
Starting from a cell relaxed with GGA-PBE, the powder diffractogram of AcPaTiO6 was computed for Cu Kα.
Neutral-atom scattering factors, no anomalous dispersion.

Peak list (6 most intense, 10 to 90 degrees two-theta, sorted by position)
| Position (°2θ) | d_spacing | I_rel | h k l |
| --- | --- | --- | --- |
| 19.30 | 4.598 | 34 | 1 0 1 |
| 24.55 | 3.625 | 100 | 1 1 0 |
| 31.15 | 2.871 | 93 | 1 0 3 |
| 35.00 | 2.564 | 27 | 2 0 0 |
| 47.55 | 1.912 | 71 | 2 1 3 |
| 60.39 | 1.533 | 20 | 3 0 3 |

Lattice parameters (Å, degrees): 5.1271 5.1271 10.3968 90.00 90.00 90.00
Space group P4_2nm (No. 102)
Symmetry-distinct sites (fractional):
Ac 0.0000 0.0000 0.0000 [2 per cell]
Pa 0.0000 0.0000 0.6642 [2 per cell]
Ti 0.0000 0.0000 0.3360 [2 per cell]
O 0.1682 0.1682 0.4807 [4 per cell]
O 0.2075 0.2075 0.1866 [4 per cell]
O 0.2285 0.2285 0.8068 [4 per cell]


(2)
Starting from a cell relaxed with GGA-PBE, the powder diffractogram of Ac6PbO12 was computed for Cu Kα.
Neutral-atom scattering factors, no anomalous dispersion.

Peak list (6 most intense, 10 to 90 degrees two-theta, sorted by position)
| Position (°2θ) | d_spacing | I_rel | h k l |
| --- | --- | --- | --- |
| 25.94 | 3.435 | 34 | 0 0 3 |
| 26.46 | 3.368 | 100 | 2 1 1 |
| 30.50 | 2.931 | 52 | 3 -2 2 |
| 43.33 | 2.088 | 31 | 2 1 4 |
| 44.00 | 2.058 | 29 | 1 4 0 |
| 51.79 | 1.765 | 29 | 5 -1 3 |

Lattice parameters (Å, degrees): 10.8889 10.8889 10.3054 90.00 90.00 120.00
Space group R-3 (No. 148, hexagonal axes)
Symmetry-distinct sites (fractional):
Ac 0.0514 0.2581 0.1546 [18 per cell]
Pb 0.0000 0.0000 0.5000 [3 per cell]
O 0.0388 0.2274 0.9042 [18 per cell]
O 0.0426 0.1987 0.3946 [18 per cell]


(3)
Starting from a cell relaxed with GGA-PBE, the powder diffractogram of Ac2Pb2O7 was computed for Cu Kα.
Neutral-atom scattering factors, no anomalous dispersion.

Peak list (6 most intense, 10 to 90 degrees two-theta, sorted by position)
| Position (°2θ) | d_spacing | I_rel | h k l |
| --- | --- | --- | --- |
| 27.29 | 3.267 | 100 | 2 2 2 |
| 31.62 | 2.830 | 40 | 4 0 0 |
| 45.32 | 2.001 | 47 | 4 4 0 |
| 53.72 | 1.706 | 48 | 6 2 2 |
| 72.85 | 1.298 | 20 | 6 6 2 |
| 75.06 | 1.265 | 17 | 8 4 0 |

Lattice parameters (Å, degrees): 11.3185 11.3185 11.3185 90.00 90.00 90.00
Space group Fd-3m (No. 227, origin choice 2)
Symmetry-distinct sites (fractional):
Ac 0.0000 0.0000 0.0000 [16 per cell]
Pb 0.0000 0.0000 0.5000 [16 per cell]
O 0.0867 0.3750 0.8750 [48 per cell]
O 0.1250 0.1250 0.1250 [8 per cell]


(4)
Starting from a cell relaxed with GGA-PBE, the powder diffractogram of Ac2Pb3O8 was computed for Cu Kα.
Neutral-atom scattering factors, no anomalous dispersion.

Peak list (6 most intense, 10 to 90 degrees two-theta, sorted by position)
| Position (°2θ) | d_spacing | I_rel | h k l |
| --- | --- | --- | --- |
| 21.74 | 4.088 | 30 | 2 0 -1 |
| 27.33 | 3.263 | 32 | 3 1 0 |
| 28.17 | 3.168 | 100 | 0 2 1 |
| 30.68 | 2.914 | 28 | 3 1 -1 |
| 30.88 | 2.896 | 37 | 0 0 2 |
| 32.24 | 2.777 | 39 | 3 1 1 |

Lattice parameters (Å, degrees): 10.8700 7.5679 5.8026 90.00 93.58 90.00
Space group C2 (No. 5)
Symmetry-distinct sites (fractional):
Ac 0.1863 0.0000 0.4797 [4 per cell]
Pb 0.0000 0.2431 0.0000 [2 per cell]
Pb 0.0000 0.5131 0.5000 [2 per cell]
Pb 0.0000 0.7464 0.0000 [2 per cell]
O 0.0451 0.9818 0.7833 [4 per cell]
O 0.1174 0.5565 0.8098 [4 per cell]
O 0.1294 0.3088 0.3864 [4 per cell]
O 0.1322 0.6998 0.3126 [4 per cell]


(5)
Starting from a cell relaxed with GGA-PBE, the powder diffractogram of Ac6Pb3O was computed for Cu Kα.
Neutral-atom scattering factors, no anomalous dispersion.

Peak list (6 most intense, 10 to 90 degrees two-theta, sorted by position)
| Position (°2θ) | d_spacing | I_rel | h k l |
| --- | --- | --- | --- |
| 20.96 | 4.238 | 30 | 2 2 1 |
| 28.82 | 3.098 | 100 | 3 3 1 |
| 31.54 | 2.836 | 60 | 3 1 2 |
| 32.06 | 2.792 | 52 | 0 4 2 |
| 34.53 | 2.597 | 28 | 3 5 0 |
| 41.62 | 2.170 | 34 | 6 0 0 |

Lattice parameters (Å, degrees): 13.0213 16.2087 7.7032 90.00 90.00 90.00
Space group Cmc2_1 (No. 36)
Symmetry-distinct sites (fractional):
Ac 0.0000 0.0556 0.0000 [4 per cell]
Ac 0.0000 0.2309 0.5938 [4 per cell]
Ac 0.1581 0.2646 0.0494 [8 per cell]
Ac 0.1668 0.4688 0.5722 [8 per cell]
Pb 0.0000 0.3898 0.2752 [4 per cell]
Pb 0.1630 0.1069 0.3598 [8 per cell]
O 0.0000 0.2036 0.9113 [4 per cell]


(6)
Starting from a cell relaxed with GGA-PBE, the powder diffractogram of Ac7Pb2O2 was computed for Cu Kα.
Neutral-atom scattering factors, no anomalous dispersion.

Peak list (6 most intense, 10 to 90 degrees two-theta, sorted by position)
| Position (°2θ) | d_spacing | I_rel | h k l |
| --- | --- | --- | --- |
| 22.05 | 4.030 | 50 | 0 4 0 |
| 22.17 | 4.010 | 44 | 1 3 -1 |
| 28.52 | 3.130 | 42 | 1 3 -2 |
| 29.61 | 3.017 | 51 | 2 0 -2 |
| 31.12 | 2.873 | 100 | 1 3 2 |
| 33.12 | 2.705 | 53 | 2 4 -1 |

Lattice parameters (Å, degrees): 7.6553 16.1215 8.2875 90.00 98.49 90.00
Space group C2/m (No. 12)
Symmetry-distinct sites (fractional):
Ac 0.0000 0.0000 0.0000 [2 per cell]
Ac 0.0595 0.5000 0.2240 [4 per cell]
Ac 0.1713 0.2267 0.2236 [8 per cell]
Pb 0.0000 0.3444 0.5000 [4 per cell]
O 0.1874 0.5000 0.9770 [4 per cell]


(7)
Starting from a cell relaxed with GGA-PBE, the powder diffractogram of Ac2Pr4Pb3O2 was computed for Cu Kα.
Neutral-atom scattering factors, no anomalous dispersion.

Peak list (6 most intense, 10 to 90 degrees two-theta, sorted by position)
| Position (°2θ) | d_spacing | I_rel | h k l |
| --- | --- | --- | --- |
| 26.23 | 3.397 | 38 | 1 1 2 |
| 29.28 | 3.050 | 21 | 1 0 7 |
| 32.32 | 2.770 | 100 | 1 1 6 |
| 36.20 | 2.482 | 53 | 2 0 0 |
| 52.12 | 1.755 | 19 | 2 2 0 |
| 62.67 | 1.482 | 31 | 3 1 6 |

Lattice parameters (Å, degrees): 4.9634 4.9634 27.0577 90.00 90.00 90.00
Space group I4/mmm (No. 139)
Symmetry-distinct sites (fractional):
Ac 0.0000 0.0000 0.1927 [4 per cell]
Pr 0.0000 0.5000 0.0803 [8 per cell]
Pb 0.0000 0.0000 0.3263 [4 per cell]
Pb 0.0000 0.0000 0.5000 [2 per cell]
O 0.0000 0.0000 0.0989 [4 per cell]


(8)
Starting from a cell relaxed with GGA-PBE, the powder diffractogram of AcPtPbO was computed for Cu Kα.
Neutral-atom scattering factors, no anomalous dispersion.

Peak list (6 most intense, 10 to 90 degrees two-theta, sorted by position)
| Position (°2θ) | d_spacing | I_rel | h k l |
| --- | --- | --- | --- |
| 11.03 | 8.021 | 61 | 0 0 2 |
| 30.26 | 2.954 | 100 | 1 0 3 |
| 35.84 | 2.506 | 71 | 1 1 0 |
| 37.83 | 2.378 | 77 | 1 0 5 |
| 60.98 | 1.519 | 29 | 2 1 3 |
| 65.71 | 1.421 | 32 | 2 1 5 |

Lattice parameters (Å, degrees): 3.5438 3.5438 16.0420 90.00 90.00 90.00
Space group I4mm (No. 107)
Symmetry-distinct sites (fractional):
Ac 0.0000 0.0000 0.0000 [2 per cell]
Pt 0.0000 0.0000 0.6461 [2 per cell]
Pb 0.0000 0.0000 0.2378 [2 per cell]
O 0.0000 0.0000 0.4672 [2 per cell]


(9)
Starting from a cell relaxed with GGA-PBE, the powder diffractogram of RbAc4Pb3O12 was computed for Cu Kα.
Neutral-atom scattering factors, no anomalous dispersion.

Peak list (6 most intense, 10 to 90 degrees two-theta, sorted by position)
| Position (°2θ) | d_spacing | I_rel | h k l |
| --- | --- | --- | --- |
| 27.55 | 3.238 | 100 | 2 2 0 |
| 39.35 | 2.289 | 21 | 4 0 0 |
| 48.71 | 1.869 | 49 | 4 2 2 |
| 56.88 | 1.619 | 14 | 4 4 0 |
| 64.34 | 1.448 | 21 | 6 0 2 |
| 78.09 | 1.224 | 23 | 6 4 2 |

Lattice parameters (Å, degrees): 9.1578 9.1578 9.1578 90.00 90.00 90.00
Space group Im-3 (No. 204)
Symmetry-distinct sites (fractional):
Rb 0.0000 0.0000 0.0000 [2 per cell]
Ac 0.2500 0.2500 0.2500 [8 per cell]
Pb 0.0000 0.0000 0.5000 [6 per cell]
O 0.0000 0.1656 0.3272 [24 per cell]


(10)
Starting from a cell relaxed with GGA-PBE, the powder diffractogram of AcRh3Pb2O8 was computed for Cu Kα.
Neutral-atom scattering factors, no anomalous dispersion.

Peak list (6 most intense, 10 to 90 degrees two-theta, sorted by position)
| Position (°2θ) | d_spacing | I_rel | h k l |
| --- | --- | --- | --- |
| 27.22 | 3.276 | 60 | 1 1 0 |
| 30.31 | 2.949 | 72 | 0 1 5 |
| 31.43 | 2.847 | 100 | 1 1 3 |
| 50.07 | 1.822 | 39 | 1 2 5 |
| 53.35 | 1.717 | 32 | 2 0 8 |
| 56.16 | 1.638 | 33 | 2 2 0 |

Lattice parameters (Å, degrees): 6.5514 6.5514 17.2611 90.00 90.00 120.00
Space group R3m (No. 160, hexagonal axes)
Symmetry-distinct sites (fractional):
Ac 0.0000 0.0000 0.0000 [3 per cell]
Rh 0.0005 0.5002 0.1235 [9 per cell]
Pb 0.0000 0.0000 0.2378 [3 per cell]
Pb 0.0000 0.0000 0.6218 [3 per cell]
O 0.0000 0.0000 0.4014 [3 per cell]
O 0.0000 0.0000 0.8491 [3 per cell]
O 0.0295 0.5148 0.3960 [9 per cell]
O 0.1813 0.3625 0.1835 [9 per cell]


(11)
Starting from a cell relaxed with GGA-PBE, the powder diffractogram of AcRu2PbO8 was computed for Cu Kα.
Neutral-atom scattering factors, no anomalous dispersion.

Peak list (6 most intense, 10 to 90 degrees two-theta, sorted by position)
| Position (°2θ) | d_spacing | I_rel | h k l |
| --- | --- | --- | --- |
| 16.85 | 5.262 | 43 | 1 0 0 |
| 20.65 | 4.302 | 24 | 0 1 1 |
| 29.36 | 3.042 | 100 | 1 1 0 |
| 38.18 | 2.357 | 13 | 1 1 2 |
| 42.00 | 2.151 | 27 | 0 2 2 |
| 52.11 | 1.755 | 32 | 3 0 0 |

Lattice parameters (Å, degrees): 6.0759 6.0759 7.4720 90.00 90.00 120.00
Space group P-3m1 (No. 164)
Symmetry-distinct sites (fractional):
Ac 0.0000 0.0000 0.0000 [1 per cell]
Ru 0.3333 0.6667 0.3112 [2 per cell]
Pb 0.0000 0.0000 0.5000 [1 per cell]
O 0.1679 0.3358 0.2327 [6 per cell]
O 0.3333 0.6667 0.5467 [2 per cell]


(12)
Starting from a cell relaxed with GGA-PBE, the powder diffractogram of AcSbPbO was computed for Cu Kα.
Neutral-atom scattering factors, no anomalous dispersion.

Peak list (6 most intense, 10 to 90 degrees two-theta, sorted by position)
| Position (°2θ) | d_spacing | I_rel | h k l |
| --- | --- | --- | --- |
| 20.73 | 4.284 | 20 | 0 0 4 |
| 29.51 | 3.027 | 100 | 1 0 3 |
| 35.56 | 2.524 | 41 | 1 1 0 |
| 44.89 | 2.019 | 17 | 1 0 7 |
| 48.10 | 1.891 | 18 | 1 1 6 |
| 60.18 | 1.538 | 28 | 2 1 3 |

Lattice parameters (Å, degrees): 3.5700 3.5700 17.1373 90.00 90.00 90.00
Space group I4mm (No. 107)
Symmetry-distinct sites (fractional):
Ac 0.0000 0.0000 0.0000 [2 per cell]
Sb 0.0000 0.0000 0.6649 [2 per cell]
Pb 0.0000 0.0000 0.2901 [2 per cell]
O 0.0000 0.0000 0.4747 [2 per cell]


Q: What is the formula in the eleventh record?
A: AcRu2PbO8